Structure and theoretical PXRD pattern of PrNdSm2Tm5 (a DFT-relaxed cell (PBE, Alexandria); Cu Kα X-rays).
Intensities are scaled so that the largest is 100.

Largest 10 diffraction maxima, by angle, 10 to 80 degrees two-theta:
2theta  I/Imax
28.82  49
28.97  50
31.09  100
32.48  14
37.34  13
37.66  17
43.18  21
47.50  13
52.68  22
56.60  13

Cell and atoms:
Unit cell a=9.830 b=9.830 c=9.830 alpha=127.35 beta=127.35 gamma=77.67
Positions (direct):
Pr  0.250  0.250  0.000
Pr  0.750  0.750  0.000
Nd  0.250  0.750  0.500
Nd  0.750  0.250  0.500
Sm  0.116  0.616  0.733
Sm  0.384  0.116  0.500
Sm  0.616  0.884  0.500
Sm  0.884  0.384  0.267
Tm  0.000  0.000  0.000
Tm  0.073  0.157  0.500
Tm  0.157  0.657  0.084
Tm  0.343  0.427  0.500
Tm  0.427  0.927  0.084
Tm  0.500  0.500  0.000
Tm  0.573  0.073  0.916
Tm  0.657  0.573  0.500
Tm  0.843  0.343  0.916
Tm  0.927  0.843  0.500


Structure and theoretical PXRD pattern of PrNd2SmTm2 (a DFT-relaxed cell (PBE, Alexandria); Cu Kα X-rays).
Intensities are scaled so that the largest is 100.

Largest 10 diffraction maxima, by angle, 10 to 80 degrees two-theta:
2theta  I/Imax
31.12  88
31.27  100
40.60  13
44.70  33
51.82  8
55.60  54
61.78  29
65.24  12
74.04  15
79.50  14

Cell and atoms:
Unit cell a=7.057 b=9.909 c=5.721 alpha=90.00 beta=90.00 gamma=90.00
Positions (direct):
Pr  0.000  0.000  0.000
Pr  0.500  0.500  0.500
Nd  0.249  0.333  0.000
Nd  0.251  0.833  0.500
Nd  0.749  0.167  0.500
Nd  0.751  0.667  0.000
Sm  0.000  0.500  0.500
Sm  0.500  0.000  0.000
Tm  0.250  0.166  0.500
Tm  0.250  0.666  0.000
Tm  0.750  0.334  0.000
Tm  0.750  0.834  0.500


Structure and theoretical PXRD pattern of PrNdSmTm2 (a DFT-relaxed cell (PBE, Alexandria); Cu Kα X-rays).
Intensities are scaled so that the largest is 100.

Largest 10 diffraction maxima, by angle, 10 to 80 degrees two-theta:
2theta  I/Imax
15.25  22
26.08  37
28.02  27
29.19  45
30.78  49
32.70  100
35.68  41
39.56  32
45.51  50
65.62  15

Cell and atoms:
Unit cell a=7.184 b=7.184 c=7.197 alpha=90.00 beta=90.00 gamma=107.96
Positions (direct):
Pr  0.228  0.772  0.750
Pr  0.772  0.228  0.250
Nd  0.225  0.775  0.250
Nd  0.775  0.225  0.750
Sm  0.499  0.501  0.250
Sm  0.501  0.499  0.750
Tm  0.187  0.187  0.000
Tm  0.187  0.187  0.500
Tm  0.813  0.813  0.000
Tm  0.813  0.813  0.500


Structure and theoretical PXRD pattern of PrNd2Sm2Tm2 (a DFT-relaxed cell (PBE, Alexandria); Cu Kα X-rays).
Intensities are scaled so that the largest is 100.

Largest 10 diffraction maxima, by angle, 10 to 80 degrees two-theta:
2theta  I/Imax
30.22  100
30.34  99
34.99  34
35.10  34
35.23  33
50.38  36
50.60  36
59.76  14
59.99  43
60.08  14

Cell and atoms:
Unit cell a=11.383 b=5.114 c=8.119 alpha=90.00 beta=98.17 gamma=90.00
Positions (direct):
Pr  0.000  0.000  0.000
Pr  0.500  0.500  0.000
Nd  0.072  0.500  0.717
Nd  0.428  0.000  0.283
Nd  0.572  0.000  0.717
Nd  0.928  0.500  0.283
Sm  0.144  0.000  0.430
Sm  0.356  0.500  0.570
Sm  0.644  0.500  0.430
Sm  0.856  0.000  0.570
Tm  0.215  0.500  0.142
Tm  0.285  0.000  0.858
Tm  0.715  0.000  0.142
Tm  0.785  0.500  0.858


Structure and theoretical PXRD pattern of Pr6NdSm2Tm (a DFT-relaxed cell (PBE, Alexandria); Cu Kα X-rays).
Intensities are scaled so that the largest is 100.

Largest 10 diffraction maxima, by angle, 10 to 80 degrees two-theta:
2theta  I/Imax
27.23  21
27.83  39
29.69  53
29.81  46
30.44  44
30.66  100
31.43  18
32.88  42
33.50  14
49.41  12

Cell and atoms:
Unit cell a=9.044 b=9.044 c=9.844 alpha=94.06 beta=94.06 gamma=117.72
Positions (direct):
Pr  0.009  0.567  0.190
Pr  0.118  0.755  0.554
Pr  0.245  0.882  0.946
Pr  0.294  0.507  0.382
Pr  0.433  0.991  0.310
Pr  0.493  0.706  0.118
Pr  0.507  0.294  0.882
Pr  0.567  0.009  0.690
Pr  0.706  0.493  0.618
Pr  0.755  0.118  0.054
Pr  0.882  0.245  0.446
Pr  0.991  0.433  0.810
Nd  0.022  0.978  0.250
Nd  0.978  0.022  0.750
Sm  0.200  0.298  0.045
Sm  0.298  0.200  0.545
Sm  0.702  0.800  0.455
Sm  0.800  0.702  0.955
Tm  0.411  0.589  0.750
Tm  0.589  0.411  0.250


Structure and theoretical PXRD pattern of Pr2Nd4SmY2 (a DFT-relaxed cell (PBE, Alexandria); Cu Kα X-rays).
Intensities are scaled so that the largest is 100.

Largest 10 diffraction maxima, by angle, 10 to 80 degrees two-theta:
2theta  I/Imax
28.12  40
30.31  49
31.06  100
32.71  88
39.14  16
49.42  25
53.24  22
56.44  19
58.99  15
59.09  29

Cell and atoms:
Unit cell a=9.752 b=9.752 c=9.819 alpha=115.22 beta=115.22 gamma=21.85
Positions (direct):
Pr  0.166  0.166  0.499
Pr  0.834  0.834  0.501
Nd  0.018  0.018  0.835
Nd  0.314  0.314  0.166
Nd  0.686  0.686  0.834
Nd  0.982  0.982  0.165
Sm  0.500  0.500  0.500
Y  0.352  0.352  0.833
Y  0.648  0.648  0.167